This entry pairs a crystal structure of LiZn4Sn4O8 with its computed XRD peak list. Radiation: CuKα. Structure: the PBE geometry in Alexandria.
Neutral-atom scattering factors, no anomalous dispersion.

Atomic structure:
Lattice parameters (Å, degrees): 3.371 8.936 9.037 80.45 79.56 79.26
Atoms (fractional coordinates):
1 Li 0.000 0.000 0.000
2 Zn 0.070 0.632 0.237
3 Zn 0.337 0.254 0.071
4 Zn 0.663 0.746 0.929
5 Zn 0.930 0.368 0.763
6 Sn 0.150 0.043 0.663
7 Sn 0.361 0.663 0.608
8 Sn 0.639 0.337 0.392
9 Sn 0.850 0.957 0.337
10 O 0.101 0.761 0.041
11 O 0.191 0.391 0.233
12 O 0.385 0.033 0.188
13 O 0.468 0.414 0.637
14 O 0.532 0.586 0.363
15 O 0.615 0.967 0.812
16 O 0.809 0.609 0.767
17 O 0.899 0.239 0.959

Peak list (10 most intense, 10° ≤ 2θ ≤ 80°, by angle)
10.0 deg, rel. 45, hkl 0 0 1
26.8 deg, rel. 86, hkl 0 2 2
30.8 deg, rel. 65, hkl 0 3 0
31.3 deg, rel. 96, hkl 1 1 -1
31.4 deg, rel. 100, hkl 1 0 2
33.5 deg, rel. 45, hkl 0 1 -3
33.8 deg, rel. 38, hkl 0 3 -1
36.9 deg, rel. 35, hkl 1 -2 0
37.0 deg, rel. 28, hkl 1 3 1
54.4 deg, rel. 30, hkl 2 1 1